1.
Na3SmHo3Te8: computed powder X-ray diffraction pattern (Cu Kα (weighted mean of Kα1 and Kα2)), based on a GGA-PBE-relaxed structure.
No peak broadening, texture or thermal motion is included.

The 12 most intense peaks (2θ = 10–90°), in order of rising 2θ:
- 2θ 11.6, d = 7.646 Å, intensity 40
- 2θ 23.8, d = 3.737 Å, intensity 15
- 2θ 28.2, d = 3.160 Å, intensity 100
- 2θ 36.3, d = 2.478 Å, intensity 12
- 2θ 39.4, d = 2.286 Å, intensity 39
- 2θ 41.3, d = 2.187 Å, intensity 36
- 2θ 43.0, d = 2.102 Å, intensity 10
- 2θ 50.8, d = 1.798 Å, intensity 19
- 2θ 58.4, d = 1.580 Å, intensity 12
- 2θ 64.8, d = 1.439 Å, intensity 17
- 2θ 67.4, d = 1.389 Å, intensity 16
- 2θ 74.0, d = 1.281 Å, intensity 12

Cell and atoms:
```
data_Na3SmHo3Te8
_chemical_formula_sum 'Na9 Sm3 Ho9 Te24'
_cell_length_a 8.7469
_cell_length_b 8.7469
_cell_length_c 22.9379
_cell_angle_alpha 90.00
_cell_angle_beta 90.00
_cell_angle_gamma 120.00
_space_group_name_H-M_alt 'R -3 m'
_space_group_IT_number 166
_space_group_name_Hall '-R 3 2"'
loop_
_atom_site_label
_atom_site_type_symbol
_atom_site_fract_x
_atom_site_fract_y
_atom_site_fract_z
Na1 Na 0.0000 0.5000 0.0000
Sm1 Sm 0.0000 0.0000 0.5000
Ho1 Ho 0.0000 0.5000 0.5000
Te1 Te 0.0000 0.0000 0.2440
Te2 Te 0.0084 0.5042 0.7553
```

***

2.
Na3HoSn12: computed powder X-ray diffraction pattern (Cu Kα (weighted mean of Kα1 and Kα2)), based on a GGA-PBE-relaxed structure.
No peak broadening, texture or thermal motion is included.

The 12 most intense peaks (2θ = 10–90°), in order of rising 2θ:
- 2θ 19.0, d = 4.663 Å, intensity 4
- 2θ 26.5, d = 3.367 Å, intensity 4
- 2θ 32.8, d = 2.730 Å, intensity 100
- 2θ 36.9, d = 2.434 Å, intensity 18
- 2θ 38.6, d = 2.332 Å, intensity 32
- 2θ 54.5, d = 1.684 Å, intensity 24
- 2θ 55.8, d = 1.649 Å, intensity 11
- 2θ 64.0, d = 1.456 Å, intensity 15
- 2θ 66.2, d = 1.411 Å, intensity 28
- 2θ 68.8, d = 1.365 Å, intensity 12
- 2θ 82.8, d = 1.166 Å, intensity 4
- 2θ 89.9, d = 1.091 Å, intensity 13

Cell and atoms:
```
data_Na3HoSn12
_chemical_formula_sum 'Na3 Ho1 Sn12'
_cell_length_a 4.663
_cell_length_b 4.663
_cell_length_c 19.469
_cell_angle_alpha 90.00
_cell_angle_beta 90.00
_cell_angle_gamma 90.00
_space_group_name_H-M_alt 'P 4/m m m'
_space_group_IT_number 123
_space_group_name_Hall '-P 4 2'
loop_
_atom_site_label
_atom_site_type_symbol
_atom_site_fract_x
_atom_site_fract_y
_atom_site_fract_z
Na1 Na 0.000 0.000 0.000
Na2 Na 0.000 0.000 0.252
Ho1 Ho 0.000 0.000 0.500
Sn1 Sn 0.000 0.500 0.125
Sn2 Sn 0.000 0.500 0.375
Sn3 Sn 0.500 0.500 0.000
Sn4 Sn 0.500 0.500 0.249
Sn5 Sn 0.500 0.500 0.500
```

***

3.
NaHoTlSn: computed powder X-ray diffraction pattern (Cu Kα (weighted mean of Kα1 and Kα2)), based on a GGA-PBE-relaxed structure.
No peak broadening, texture or thermal motion is included.

The 12 most intense peaks (2θ = 10–90°), in order of rising 2θ:
- 2θ 20.4, d = 4.349 Å, intensity 22
- 2θ 23.6, d = 3.766 Å, intensity 8
- 2θ 33.7, d = 2.663 Å, intensity 100
- 2θ 39.7, d = 2.271 Å, intensity 12
- 2θ 48.3, d = 1.883 Å, intensity 18
- 2θ 53.0, d = 1.728 Å, intensity 5
- 2θ 54.5, d = 1.684 Å, intensity 4
- 2θ 60.2, d = 1.537 Å, intensity 38
- 2θ 64.3, d = 1.450 Å, intensity 4
- 2θ 70.8, d = 1.332 Å, intensity 12
- 2θ 74.5, d = 1.273 Å, intensity 4
- 2θ 80.7, d = 1.191 Å, intensity 17

Cell and atoms:
```
data_NaHoTlSn
_chemical_formula_sum 'Na4 Ho4 Tl4 Sn4'
_cell_length_a 7.532
_cell_length_b 7.532
_cell_length_c 7.532
_cell_angle_alpha 90.00
_cell_angle_beta 90.00
_cell_angle_gamma 90.00
_space_group_name_H-M_alt 'F -4 3 m'
_space_group_IT_number 216
_space_group_name_Hall 'F -4 2 3'
loop_
_atom_site_label
_atom_site_type_symbol
_atom_site_fract_x
_atom_site_fract_y
_atom_site_fract_z
Na1 Na 0.000 0.000 0.000
Ho1 Ho 0.000 0.000 0.500
Tl1 Tl 0.250 0.250 0.750
Sn1 Sn 0.250 0.250 0.250
```

***

4.
Na2TbHoTe4: computed powder X-ray diffraction pattern (Cu Kα (weighted mean of Kα1 and Kα2)), based on a GGA-PBE-relaxed structure.
No peak broadening, texture or thermal motion is included.

The 12 most intense peaks (2θ = 10–90°), in order of rising 2θ:
- 2θ 11.7, d = 7.566 Å, intensity 36
- 2θ 23.5, d = 3.781 Å, intensity 14
- 2θ 28.1, d = 3.177 Å, intensity 100
- 2θ 36.3, d = 2.476 Å, intensity 11
- 2θ 39.5, d = 2.281 Å, intensity 38
- 2θ 40.8, d = 2.214 Å, intensity 37
- 2θ 42.6, d = 2.125 Å, intensity 9
- 2θ 50.2, d = 1.816 Å, intensity 26
- 2θ 58.1, d = 1.588 Å, intensity 12
- 2θ 64.8, d = 1.438 Å, intensity 17
- 2θ 66.6, d = 1.404 Å, intensity 19
- 2θ 73.4, d = 1.291 Å, intensity 12

Cell and atoms:
```
data_Na2TbHoTe4
_chemical_formula_sum 'Na2 Tb1 Ho1 Te4'
_cell_length_a 7.666
_cell_length_b 4.429
_cell_length_c 7.986
_cell_angle_alpha 90.00
_cell_angle_beta 108.65
_cell_angle_gamma 90.00
_space_group_name_H-M_alt 'P 1 2/m 1'
_space_group_IT_number 10
loop_
_space_group_symop_operation_xyz
'x,y,z'
'-x,-y,-z'
'-x,y,-z'
'x,-y,z'
loop_
_atom_site_label
_atom_site_type_symbol
_atom_site_fract_x
_atom_site_fract_y
_atom_site_fract_z
Na1 Na 0.000 0.000 0.000
Na2 Na 0.500 0.500 0.000
Tb1 Tb 0.000 0.500 0.500
Ho1 Ho 0.500 0.000 0.500
Te1 Te 0.246 0.000 0.732
Te2 Te 0.258 0.500 0.269
```

***

5.
Na4HoTm3Te8: computed powder X-ray diffraction pattern (Cu Kα (weighted mean of Kα1 and Kα2)), based on a GGA-PBE-relaxed structure.
No peak broadening, texture or thermal motion is included.

The 12 most intense peaks (2θ = 10–90°), in order of rising 2θ:
- 2θ 11.7, d = 7.564 Å, intensity 40
- 2θ 23.7, d = 3.751 Å, intensity 14
- 2θ 28.3, d = 3.159 Å, intensity 100
- 2θ 36.4, d = 2.467 Å, intensity 12
- 2θ 39.6, d = 2.274 Å, intensity 38
- 2θ 41.1, d = 2.196 Å, intensity 37
- 2θ 42.9, d = 2.109 Å, intensity 10
- 2θ 50.6, d = 1.803 Å, intensity 20
- 2θ 58.4, d = 1.579 Å, intensity 12
- 2θ 65.1, d = 1.433 Å, intensity 18
- 2θ 67.2, d = 1.393 Å, intensity 17
- 2θ 73.9, d = 1.282 Å, intensity 12

Cell and atoms:
```
data_Na4HoTm3Te8
_chemical_formula_sum 'Na12 Ho3 Tm9 Te24'
_cell_length_a 8.7825
_cell_length_b 8.7825
_cell_length_c 22.6910
_cell_angle_alpha 90.00
_cell_angle_beta 90.00
_cell_angle_gamma 120.00
_space_group_name_H-M_alt 'R -3 m'
_space_group_IT_number 166
_space_group_name_Hall '-R 3 2"'
loop_
_atom_site_label
_atom_site_type_symbol
_atom_site_fract_x
_atom_site_fract_y
_atom_site_fract_z
Na1 Na 0.0000 0.0000 0.0000
Na2 Na 0.0000 0.5000 0.0000
Ho1 Ho 0.0000 0.0000 0.5000
Tm1 Tm 0.0000 0.5000 0.5000
Te1 Te 0.0000 0.0000 0.2429
Te2 Te 0.0016 0.5008 0.7567
```

***

6.
Na3Ho2TmTe6: computed powder X-ray diffraction pattern (Cu Kα (weighted mean of Kα1 and Kα2)), based on a GGA-PBE-relaxed structure.
No peak broadening, texture or thermal motion is included.

The 12 most intense peaks (2θ = 10–90°), in order of rising 2θ:
- 2θ 11.7, d = 7.565 Å, intensity 39
- 2θ 23.7, d = 3.760 Å, intensity 14
- 2θ 28.2, d = 3.164 Å, intensity 100
- 2θ 36.4, d = 2.470 Å, intensity 12
- 2θ 39.6, d = 2.276 Å, intensity 38
- 2θ 41.0, d = 2.201 Å, intensity 37
- 2θ 42.8, d = 2.114 Å, intensity 10
- 2θ 50.5, d = 1.807 Å, intensity 20
- 2θ 58.3, d = 1.582 Å, intensity 12
- 2θ 65.0, d = 1.434 Å, intensity 16
- 2θ 67.0, d = 1.397 Å, intensity 17
- 2θ 73.7, d = 1.285 Å, intensity 12

Cell and atoms:
```
data_Na3Ho2TmTe6
_chemical_formula_sum 'Na6 Ho4 Tm2 Te12'
_cell_length_a 7.625
_cell_length_b 13.207
_cell_length_c 7.981
_cell_angle_alpha 90.00
_cell_angle_beta 108.58
_cell_angle_gamma 90.00
_space_group_name_H-M_alt 'C 1 2/m 1'
_space_group_IT_number 12
loop_
_space_group_symop_operation_xyz
'x,y,z'
'-x,-y,-z'
'-x,y,-z'
'x,-y,z'
'x+1/2,y+1/2,z'
'-x+1/2,-y+1/2,-z'
'-x+1/2,y+1/2,-z'
'x+1/2,-y+1/2,z'
loop_
_atom_site_label
_atom_site_type_symbol
_atom_site_fract_x
_atom_site_fract_y
_atom_site_fract_z
Na1 Na 0.000 0.000 0.000
Na2 Na 0.000 0.333 0.000
Ho1 Ho 0.000 0.167 0.500
Tm1 Tm 0.000 0.500 0.500
Te1 Te 0.242 0.334 0.730
Te2 Te 0.245 0.000 0.730
```

***

7.
NaHoZn10: computed powder X-ray diffraction pattern (Cu Kα (weighted mean of Kα1 and Kα2)), based on a GGA-PBE-relaxed structure.
No peak broadening, texture or thermal motion is included.

The 12 most intense peaks (2θ = 10–90°), in order of rising 2θ:
- 2θ 28.5, d = 3.127 Å, intensity 34
- 2θ 33.8, d = 2.651 Å, intensity 22
- 2θ 39.1, d = 2.302 Å, intensity 16
- 2θ 39.4, d = 2.285 Å, intensity 29
- 2θ 40.0, d = 2.254 Å, intensity 100
- 2θ 40.2, d = 2.242 Å, intensity 49
- 2θ 42.2, d = 2.140 Å, intensity 46
- 2θ 45.0, d = 2.015 Å, intensity 27
- 2θ 59.2, d = 1.562 Å, intensity 17
- 2θ 65.0, d = 1.435 Å, intensity 22
- 2θ 71.1, d = 1.326 Å, intensity 17
- 2θ 86.3, d = 1.127 Å, intensity 19

Cell and atoms:
```
data_NaHoZn10
_chemical_formula_sum 'Na1 Ho1 Zn10'
_cell_length_a 4.279
_cell_length_b 5.264
_cell_length_c 9.207
_cell_angle_alpha 90.00
_cell_angle_beta 90.00
_cell_angle_gamma 90.00
_space_group_name_H-M_alt 'P m m m'
_space_group_IT_number 47
loop_
_space_group_symop_operation_xyz
'x,y,z'
'-x,-y,-z'
'-x,-y,z'
'x,y,-z'
'x,-y,-z'
'-x,y,z'
'-x,y,-z'
'x,-y,z'
loop_
_atom_site_label
_atom_site_type_symbol
_atom_site_fract_x
_atom_site_fract_y
_atom_site_fract_z
Na1 Na 0.000 0.000 0.000
Ho1 Ho 0.000 0.500 0.500
Zn1 Zn 0.000 0.000 0.325
Zn2 Zn 0.000 0.500 0.162
Zn3 Zn 0.500 0.000 0.500
Zn4 Zn 0.500 0.258 0.262
Zn5 Zn 0.500 0.500 0.000
```

***

8.
Ho4Nb6O19: computed powder X-ray diffraction pattern (Cu Kα (weighted mean of Kα1 and Kα2)), based on a GGA-PBE-relaxed structure.
No peak broadening, texture or thermal motion is included.

The 12 most intense peaks (2θ = 10–90°), in order of rising 2θ:
- 2θ 23.9, d = 3.724 Å, intensity 99
- 2θ 31.0, d = 2.885 Å, intensity 100
- 2θ 34.0, d = 2.633 Å, intensity 36
- 2θ 36.9, d = 2.438 Å, intensity 48
- 2θ 42.0, d = 2.150 Å, intensity 25
- 2θ 48.9, d = 1.862 Å, intensity 18
- 2θ 51.1, d = 1.789 Å, intensity 63
- 2θ 55.1, d = 1.665 Å, intensity 37
- 2θ 60.9, d = 1.520 Å, intensity 26
- 2θ 69.9, d = 1.345 Å, intensity 14
- 2θ 80.1, d = 1.198 Å, intensity 13
- 2θ 83.4, d = 1.159 Å, intensity 13

Cell and atoms:
```
data_Ho4Nb6O19
_chemical_formula_sum 'Ho8 Nb12 O38'
_cell_length_a 9.122
_cell_length_b 9.122
_cell_length_c 9.122
_cell_angle_alpha 90.00
_cell_angle_beta 90.00
_cell_angle_gamma 90.00
_space_group_name_H-M_alt 'I 2 3'
_space_group_IT_number 197
_space_group_name_Hall 'I 2 2 3'
loop_
_atom_site_label
_atom_site_type_symbol
_atom_site_fract_x
_atom_site_fract_y
_atom_site_fract_z
Ho1 Ho 0.144 0.144 0.856
Nb1 Nb 0.000 0.347 0.500
O1 O 0.000 0.000 0.000
O2 O 0.000 0.000 0.328
O3 O 0.045 0.318 0.712
```

***

9.
Ho2PaNb: computed powder X-ray diffraction pattern (Cu Kα (weighted mean of Kα1 and Kα2)), based on a GGA-PBE-relaxed structure.
No peak broadening, texture or thermal motion is included.

The 12 most intense peaks (2θ = 10–90°), in order of rising 2θ:
- 2θ 31.3, d = 2.859 Å, intensity 67
- 2θ 32.5, d = 2.756 Å, intensity 100
- 2θ 34.7, d = 2.586 Å, intensity 65
- 2θ 37.1, d = 2.426 Å, intensity 49
- 2θ 41.7, d = 2.166 Å, intensity 59
- 2θ 49.5, d = 1.842 Å, intensity 26
- 2θ 56.2, d = 1.636 Å, intensity 18
- 2θ 57.1, d = 1.612 Å, intensity 37
- 2θ 66.6, d = 1.404 Å, intensity 46
- 2θ 67.3, d = 1.391 Å, intensity 12
- 2θ 69.0, d = 1.362 Å, intensity 15
- 2θ 73.2, d = 1.293 Å, intensity 11

Cell and atoms:
```
data_Ho2PaNb
_chemical_formula_sum 'Ho6 Pa3 Nb3'
_cell_length_a 3.2238
_cell_length_b 3.2238
_cell_length_c 34.3093
_cell_angle_alpha 90.00
_cell_angle_beta 90.00
_cell_angle_gamma 120.00
_space_group_name_H-M_alt 'R -3 m'
_space_group_IT_number 166
_space_group_name_Hall '-R 3 2"'
loop_
_atom_site_label
_atom_site_type_symbol
_atom_site_fract_x
_atom_site_fract_y
_atom_site_fract_z
Ho1 Ho 0.0000 0.0000 0.0851
Pa1 Pa 0.0000 0.0000 0.5000
Nb1 Nb 0.0000 0.0000 0.0000
```

***

10.
Ho2NbSe4: computed powder X-ray diffraction pattern (Cu Kα (weighted mean of Kα1 and Kα2)), based on a GGA-PBE-relaxed structure.
No peak broadening, texture or thermal motion is included.

The 12 most intense peaks (2θ = 10–90°), in order of rising 2θ:
- 2θ 14.3, d = 6.215 Å, intensity 59
- 2θ 24.8, d = 3.584 Å, intensity 23
- 2θ 25.8, d = 3.458 Å, intensity 38
- 2θ 28.8, d = 3.096 Å, intensity 53
- 2θ 29.5, d = 3.027 Å, intensity 100
- 2θ 38.2, d = 2.359 Å, intensity 34
- 2θ 38.5, d = 2.341 Å, intensity 29
- 2θ 38.9, d = 2.317 Å, intensity 45
- 2θ 39.0, d = 2.309 Å, intensity 68
- 2θ 44.3, d = 2.045 Å, intensity 64
- 2θ 46.0, d = 1.974 Å, intensity 31
- 2θ 77.3, d = 1.234 Å, intensity 20

Cell and atoms:
```
data_Ho2NbSe4
_chemical_formula_sum 'Ho4 Nb2 Se8'
_cell_length_a 14.315
_cell_length_b 3.947
_cell_length_c 7.171
_cell_angle_alpha 90.00
_cell_angle_beta 119.63
_cell_angle_gamma 90.00
_space_group_name_H-M_alt 'C 1 2/m 1'
_space_group_IT_number 12
loop_
_space_group_symop_operation_xyz
'x,y,z'
'-x,-y,-z'
'-x,y,-z'
'x,-y,z'
'x+1/2,y+1/2,z'
'-x+1/2,-y+1/2,-z'
'-x+1/2,y+1/2,-z'
'x+1/2,-y+1/2,z'
loop_
_atom_site_label
_atom_site_type_symbol
_atom_site_fract_x
_atom_site_fract_y
_atom_site_fract_z
Ho1 Ho 0.238 0.000 0.224
Nb1 Nb 0.000 0.500 0.500
Se1 Se 0.112 0.500 0.928
Se2 Se 0.123 0.000 0.466
```

***

11.
Nd7Ho6: computed powder X-ray diffraction pattern (Cu Kα (weighted mean of Kα1 and Kα2)), based on a GGA-PBE-relaxed structure.
No peak broadening, texture or thermal motion is included.

The 12 most intense peaks (2θ = 10–90°), in order of rising 2θ:
- 2θ 26.8, d = 3.322 Å, intensity 57
- 2θ 30.1, d = 2.970 Å, intensity 51
- 2θ 31.1, d = 2.880 Å, intensity 100
- 2θ 31.2, d = 2.867 Å, intensity 48
- 2θ 32.4, d = 2.765 Å, intensity 62
- 2θ 32.8, d = 2.730 Å, intensity 23
- 2θ 33.7, d = 2.657 Å, intensity 52
- 2θ 36.1, d = 2.488 Å, intensity 23
- 2θ 50.1, d = 1.820 Å, intensity 27
- 2θ 51.0, d = 1.790 Å, intensity 37
- 2θ 55.2, d = 1.665 Å, intensity 32
- 2θ 55.3, d = 1.661 Å, intensity 48

Cell and atoms:
```
data_Nd7Ho6
_chemical_formula_sum 'Nd21 Ho18'
_cell_length_a 6.6431
_cell_length_b 6.6431
_cell_length_c 34.6823
_cell_angle_alpha 90.00
_cell_angle_beta 90.00
_cell_angle_gamma 120.00
_space_group_name_H-M_alt 'R -3 m'
_space_group_IT_number 166
_space_group_name_Hall '-R 3 2"'
loop_
_atom_site_label
_atom_site_type_symbol
_atom_site_fract_x
_atom_site_fract_y
_atom_site_fract_z
Nd1 Nd 0.0000 0.0000 0.0000
Nd2 Nd 0.0122 0.5061 0.4121
Ho1 Ho 0.0000 0.0000 0.1653
Ho2 Ho 0.0000 0.0000 0.3526
Ho3 Ho 0.0000 0.0000 0.4543
```

***

12.
Nd3Ho7: computed powder X-ray diffraction pattern (Cu Kα (weighted mean of Kα1 and Kα2)), based on a GGA-PBE-relaxed structure.
No peak broadening, texture or thermal motion is included.

The 12 most intense peaks (2θ = 10–90°), in order of rising 2θ:
- 2θ 30.7, d = 2.916 Å, intensity 100
- 2θ 35.6, d = 2.525 Å, intensity 51
- 2θ 51.2, d = 1.785 Å, intensity 36
- 2θ 60.8, d = 1.523 Å, intensity 36
- 2θ 60.9, d = 1.521 Å, intensity 7
- 2θ 63.9, d = 1.458 Å, intensity 12
- 2θ 75.2, d = 1.263 Å, intensity 4
- 2θ 75.3, d = 1.261 Å, intensity 2
- 2θ 83.3, d = 1.160 Å, intensity 3
- 2θ 83.5, d = 1.158 Å, intensity 15
- 2θ 86.0, d = 1.131 Å, intensity 3
- 2θ 86.1, d = 1.129 Å, intensity 14

Cell and atoms:
```
data_Nd3Ho7
_chemical_formula_sum 'Nd6 Ho14'
_cell_length_a 18.201
_cell_length_b 5.045
_cell_length_c 7.151
_cell_angle_alpha 90.00
_cell_angle_beta 101.33
_cell_angle_gamma 90.00
_space_group_name_H-M_alt 'C 1 2/m 1'
_space_group_IT_number 12
loop_
_space_group_symop_operation_xyz
'x,y,z'
'-x,-y,-z'
'-x,y,-z'
'x,-y,z'
'x+1/2,y+1/2,z'
'-x+1/2,-y+1/2,-z'
'-x+1/2,y+1/2,-z'
'x+1/2,-y+1/2,z'
loop_
_atom_site_label
_atom_site_type_symbol
_atom_site_fract_x
_atom_site_fract_y
_atom_site_fract_z
Nd1 Nd 0.000 0.000 0.000
Nd2 Nd 0.199 0.000 0.601
Ho1 Ho 0.000 0.000 0.500
Ho2 Ho 0.099 0.500 0.300
Ho3 Ho 0.100 0.500 0.801
Ho4 Ho 0.200 0.000 0.100
```

***

13.
Nd3Ho13: computed powder X-ray diffraction pattern (Cu Kα (weighted mean of Kα1 and Kα2)), based on a GGA-PBE-relaxed structure.
No peak broadening, texture or thermal motion is included.

The 12 most intense peaks (2θ = 10–90°), in order of rising 2θ:
- 2θ 30.8, d = 2.900 Å, intensity 100
- 2θ 35.7, d = 2.513 Å, intensity 34
- 2θ 35.8, d = 2.508 Å, intensity 17
- 2θ 51.5, d = 1.776 Å, intensity 36
- 2θ 61.2, d = 1.515 Å, intensity 29
- 2θ 61.3, d = 1.513 Å, intensity 14
- 2θ 64.2, d = 1.450 Å, intensity 12
- 2θ 75.8, d = 1.255 Å, intensity 4
- 2θ 83.9, d = 1.153 Å, intensity 12
- 2θ 84.0, d = 1.152 Å, intensity 6
- 2θ 86.6, d = 1.124 Å, intensity 6
- 2θ 86.7, d = 1.123 Å, intensity 8

Cell and atoms:
```
data_Nd3Ho13
_chemical_formula_sum 'Nd6 Ho26'
_cell_length_a 10.033
_cell_length_b 10.043
_cell_length_c 10.062
_cell_angle_alpha 90.00
_cell_angle_beta 90.00
_cell_angle_gamma 90.00
_space_group_name_H-M_alt 'A m m 2'
_space_group_IT_number 38
loop_
_space_group_symop_operation_xyz
'x,y,z'
'-x,-y,z'
'-x,y,z'
'x,-y,z'
'x,y+1/2,z+1/2'
'-x,-y+1/2,z+1/2'
'-x,y+1/2,z+1/2'
'x,-y+1/2,z+1/2'
loop_
_atom_site_label
_atom_site_type_symbol
_atom_site_fract_x
_atom_site_fract_y
_atom_site_fract_z
Nd1 Nd 0.000 0.000 0.000
Nd2 Nd 0.251 0.000 0.252
Ho1 Ho 0.000 0.000 0.503
Ho2 Ho 0.000 0.248 0.752
Ho3 Ho 0.251 0.249 0.502
Ho4 Ho 0.252 0.000 0.751
Ho5 Ho 0.500 0.000 0.000
Ho6 Ho 0.500 0.000 0.504
Ho7 Ho 0.500 0.249 0.752
```